# SrVSb2
Computed X-ray diffraction stick pattern, CuKα. Input: DFT lattice parameters and positions (GGA-PBE).

Structure:
Cell: 6.732 6.732 6.732 Å, 106.15 106.15 116.33°
Positions (direct):
Sr 0.000 0.000 0.000
Sr 0.750 0.250 0.500
V 0.250 0.750 0.500
V 0.500 0.500 0.000
Sb 0.179 0.625 0.054
Sb 0.375 0.429 0.554
Sb 0.571 0.125 0.946
Sb 0.875 0.821 0.446

Main lines, low angle first (10 to 90 degrees two-theta):
27.67°, I 34.1
29.61°, I 100.0
31.28°, I 64.9
35.62°, I 14.4
42.25°, I 12.1
43.61°, I 48.4
44.82°, I 17.9
56.59°, I 37.2
58.52°, I 14.1
74.94°, I 14.9


# Sr2SbW
Computed X-ray diffraction stick pattern, CuKα. Input: DFT lattice parameters and positions (GGA-PBE).

Structure:
Cell: 4.597 6.458 6.458 Å, 42.82 90.00 90.00°
Positions (direct):
Sr 0.000 0.000 0.000
Sr 0.500 0.291 0.291
Sb 0.500 0.587 0.587
W 0.000 0.703 0.703

Main lines, low angle first (10 to 90 degrees two-theta):
14.73°, I 60.5
20.23°, I 52.8
28.11°, I 100.0
29.24°, I 66.2
35.28°, I 97.6
35.69°, I 61.9
38.17°, I 39.4
39.19°, I 36.6
49.63°, I 53.2
53.24°, I 39.2


# Sr2Zn2Sb3
Computed X-ray diffraction stick pattern, CuKα. Input: DFT lattice parameters and positions (GGA-PBE).

Structure:
Cell: 9.003 9.003 12.806 Å, 125.29 125.29 29.81°
Positions (direct):
Sr 0.099 0.099 0.441
Sr 0.239 0.239 0.843
Sr 0.761 0.761 0.157
Sr 0.901 0.901 0.559
Zn 0.094 0.094 0.156
Zn 0.461 0.461 0.192
Zn 0.539 0.539 0.808
Zn 0.906 0.906 0.844
Sb 0.107 0.107 0.954
Sb 0.343 0.343 0.696
Sb 0.415 0.415 0.367
Sb 0.585 0.585 0.633
Sb 0.657 0.657 0.304
Sb 0.893 0.893 0.046

Main lines, low angle first (10 to 90 degrees two-theta):
23.47°, I 60.6
28.67°, I 52.5
29.13°, I 90.7
31.95°, I 79.5
32.22°, I 43.0
33.09°, I 52.7
34.08°, I 68.4
38.90°, I 100.0
40.84°, I 77.6
42.35°, I 39.5


What did the first record say?
# SrVSb2
Computed X-ray diffraction stick pattern, CuKα. Input: DFT lattice parameters and positions (GGA-PBE).

Structure:
Cell: 6.732 6.732 6.732 Å, 106.15 106.15 116.33°
Positions (direct):
Sr 0.000 0.000 0.000
Sr 0.750 0.250 0.500
V 0.250 0.750 0.500
V 0.500 0.500 0.000
Sb 0.179 0.625 0.054
Sb 0.375 0.429 0.554
Sb 0.571 0.125 0.946
Sb 0.875 0.821 0.446

Main lines, low angle first (10 to 90 degrees two-theta):
27.67°, I 34.1
29.61°, I 100.0
31.28°, I 64.9
35.62°, I 14.4
42.25°, I 12.1
43.61°, I 48.4
44.82°, I 17.9
56.59°, I 37.2
58.52°, I 14.1
74.94°, I 14.9


Q: Number 2 is which compound?
A: Sr2SbW